Entry 1:
Simulated powder XRD pattern of Pm4HgPb for CuKα, from a cell relaxed with PBE.
Intensities are scaled so that the largest is 100.

Unit cell a=5.274 b=5.274 c=7.474 alpha=90.00 beta=90.00 gamma=90.00
Fractional positions:
Pm (0.000, 0.500, 0.238)
Pm (0.000, 0.500, 0.762)
Pm (0.500, 0.000, 0.238)
Pm (0.500, 0.000, 0.762)
Hg (0.000, 0.000, 0.000)
Pb (0.500, 0.500, 0.500)

Principal peaks in the range 2θ from 10° to 90°, in order of rising 2θ:
4.309 Å, I 38; 2.639 Å, I 100; 2.251 Å, I 22; 1.869 Å, I 6; 1.865 Å, I 12; 1.712 Å, I 9; 1.524 Å, I 37; 1.319 Å, I 11; 1.182 Å, I 5; 1.180 Å, I 11

---

Entry 2:
Simulated powder XRD pattern of Pm2Hg5Pb for CuKα, from a cell relaxed with PBE.
Intensities are scaled so that the largest is 100.

Unit cell a=6.699 b=6.699 c=6.699 alpha=121.35 beta=121.35 gamma=87.67
Fractional positions:
Pm (0.000, 0.500, 0.500)
Pm (0.500, 0.000, 0.500)
Hg (0.000, 0.000, 0.499)
Hg (0.000, 0.500, 0.000)
Hg (0.001, 0.001, 0.000)
Hg (0.500, 0.000, 0.000)
Hg (0.500, 0.500, 0.501)
Pb (0.499, 0.499, 0.000)

Principal peaks in the range 2θ from 10° to 90°, in order of rising 2θ:
2.714 Å, I 100; 2.416 Å, I 18; 2.320 Å, I 32; 1.673 Å, I 24; 1.640 Å, I 11; 1.446 Å, I 15; 1.404 Å, I 27; 1.357 Å, I 12; 1.208 Å, I 2; 1.160 Å, I 4

---

Entry 3:
Simulated powder XRD pattern of PmZrHgPb for CuKα, from a cell relaxed with PBE.
Intensities are scaled so that the largest is 100.

Unit cell a=5.258 b=5.258 c=5.258 alpha=60.00 beta=60.00 gamma=60.00
Fractional positions:
Pm (0.000, 0.000, 0.000)
Zr (0.500, 0.500, 0.500)
Hg (0.750, 0.750, 0.750)
Pb (0.250, 0.250, 0.250)

Principal peaks in the range 2θ from 10° to 90°, in order of rising 2θ:
4.293 Å, I 2; 3.718 Å, I 7; 2.629 Å, I 100; 2.147 Å, I 3; 1.859 Å, I 18; 1.663 Å, I 4; 1.518 Å, I 38; 1.315 Å, I 12; 1.239 Å, I 2; 1.176 Å, I 17

---

Entry 4:
Simulated powder XRD pattern of Pr4HgPb3 for CuKα, from a cell relaxed with PBE.
Intensities are scaled so that the largest is 100.

Unit cell a=4.584 b=4.661 c=12.032 alpha=90.00 beta=90.00 gamma=90.00
Fractional positions:
Pr (0.000, 0.000, 0.000)
Pr (0.000, 0.500, 0.494)
Pr (0.500, 0.000, 0.727)
Pr (0.500, 0.500, 0.228)
Hg (0.000, 0.000, 0.271)
Pb (0.000, 0.500, 0.766)
Pb (0.500, 0.000, 0.449)
Pb (0.500, 0.500, 0.956)

Principal peaks in the range 2θ from 10° to 90°, in order of rising 2θ:
3.154 Å, I 100; 3.008 Å, I 35; 2.534 Å, I 93; 2.515 Å, I 19; 2.330 Å, I 28; 2.292 Å, I 27; 1.842 Å, I 17; 1.823 Å, I 17; 1.634 Å, I 19; 1.436 Å, I 16